# Li3Hg3Bi2
Computed PXRD pattern, Cu Kα (λ = 1.5418 Å). Input: a DFT-relaxed cell (GGA-PBE, Alexandria).
No peak broadening, texture or thermal motion is included.

Top 12 peaks for 2θ = 10–80°, in order of rising 2θ:
Position (°2θ)  d/Å  I (rel.)
21.89  4.061  65.1
25.32  3.517  38.8
26.62  3.349  75.7
33.71  2.659  100.0
34.72  2.584  48.0
37.07  2.425  30.4
38.39  2.345  19.2
43.46  2.082  99.3
47.33  1.921  19.0
60.30  1.535  26.5
65.93  1.417  29.8
67.07  1.395  40.1

Crystal structure
```
Li3Hg3Bi2
1.0
8.1224 0.0000 0.0000
-4.0612 7.0342 0.0000
0.0000 0.0000 3.3487
Li Hg Bi
3 3 2
Cartesian
-1.4473 2.5068 0.0000
2.8946 0.0000 0.0000
2.6139 4.5274 0.0000
-3.1360 5.4318 1.6744
0.9251 1.6024 1.6744
6.2721 0.0000 1.6744
0.0000 4.6895 1.6744
4.0612 2.3447 1.6744
```


# Li3Hg6Bi2
Computed PXRD pattern, Cu Kα (λ = 1.5418 Å). Input: a DFT-relaxed cell (GGA-PBE, Alexandria).
No peak broadening, texture or thermal motion is included.

Top 12 peaks for 2θ = 10–80°, in order of rising 2θ:
Position (°2θ)  d/Å  I (rel.)
19.03  4.665  100.0
25.66  3.471  53.2
29.67  3.011  38.0
31.68  2.825  23.8
32.36  2.767  28.9
34.39  2.608  65.8
36.20  2.482  14.8
38.65  2.330  54.2
40.07  2.250  46.2
43.39  2.085  20.9
47.93  1.898  16.7
64.42  1.446  19.2

Crystal structure
```
Li3Hg6Bi2
1.0
3.0535 -5.2172 0.0000
3.0535 5.2172 0.0000
-1.8075 0.0000 10.4144
Li Hg Bi
3 6 2
Cartesian
0.0000 0.0000 0.0000
-0.8440 0.0000 7.5486
5.1436 0.0000 2.8659
1.4801 2.8941 8.8618
2.8195 2.8941 1.5526
0.5876 0.0000 5.2031
3.7120 0.0000 5.2113
1.4801 -2.8941 8.8618
2.8195 -2.8941 1.5526
2.1477 0.0000 2.5255
2.1518 0.0000 7.8890
```


# Li9Hg4Bi11
Computed PXRD pattern, Cu Kα (λ = 1.5418 Å). Input: a DFT-relaxed cell (GGA-PBE, Alexandria).
No peak broadening, texture or thermal motion is included.

Top 12 peaks for 2θ = 10–80°, in order of rising 2θ:
Position (°2θ)  d/Å  I (rel.)
18.38  4.826  75.2
21.36  4.160  42.8
23.10  3.851  48.8
26.33  3.384  68.2
29.21  3.057  36.6
30.10  2.969  39.2
30.94  2.890  37.7
33.33  2.688  100.0
33.80  2.652  86.3
34.28  2.616  36.2
34.48  2.601  94.0
38.64  2.330  68.0

Crystal structure
```
Li9Hg4Bi11
1.0
5.4676 0.0000 0.0000
2.6133 7.8081 0.0000
1.7001 3.2517 14.7147
Li Hg Bi
9 4 11
Cartesian
0.0000 0.0000 0.0000
3.4768 8.2794 13.1548
3.2157 5.3607 4.6571
2.3673 1.9172 4.8893
4.8807 7.0363 7.4520
4.9003 4.0235 7.2626
7.4138 9.1425 9.8254
6.5653 5.6991 10.0575
6.3043 2.7803 1.5599
3.4235 7.5809 2.8447
3.6482 5.0342 13.8401
6.1329 6.0256 0.8746
6.3576 3.4788 11.8700
2.1567 5.5299 7.3573
2.2012 2.2580 8.1100
4.5974 7.7528 10.4814
3.7488 4.4283 10.1531
3.4803 4.4705 1.3856
6.2068 9.7766 12.5843
3.5743 1.2831 2.1303
6.3008 6.5892 13.3291
6.0322 6.6315 4.5615
5.1836 3.3069 4.2333
7.5798 8.8017 6.6047
```